This entry pairs a crystal structure of Pr15Nd4Mg with its theoretical powder diffractogram. Radiation: Cu Kα (weighted mean of Kα1 and Kα2). Structure: a structure optimized by DFT (GGA-PBE).
No peak broadening, texture or thermal motion is included.

Structural model:
a = 5.209 Å, b = 5.209 Å, c = 26.114 Å
α = 90.00°, β = 90.00°, γ = 90.00°
Fractional coordinates of all 20 atoms:
Pr 0.000 0.000 0.000
Pr 0.000 0.000 0.196
Pr 0.000 0.000 0.399
Pr 0.000 0.000 0.601
Pr 0.000 0.000 0.804
Pr 0.000 0.500 0.097
Pr 0.000 0.500 0.298
Pr 0.000 0.500 0.500
Pr 0.000 0.500 0.702
Pr 0.000 0.500 0.903
Pr 0.500 0.000 0.097
Pr 0.500 0.000 0.298
Pr 0.500 0.000 0.500
Pr 0.500 0.000 0.702
Pr 0.500 0.000 0.903
Nd 0.500 0.500 0.197
Nd 0.500 0.500 0.399
Nd 0.500 0.500 0.601
Nd 0.500 0.500 0.803
Mg 0.500 0.500 0.000

Most intense lines, 10° ≤ 2θ ≤ 90°, sorted by position:
- 2θ 29.68, intensity 100.0
- 2θ 34.40, intensity 50.6
- 2θ 49.45, intensity 36.0
- 2θ 58.65, intensity 13.8
- 2θ 58.78, intensity 28.8
- 2θ 61.62, intensity 12.3
- 2θ 80.23, intensity 11.2
- 2θ 80.33, intensity 5.8
- 2θ 82.67, intensity 5.0
- 2θ 82.86, intensity 10.8

This entry pairs a crystal structure of Pr9Nd4Mg11 with its theoretical powder diffractogram. Radiation: Cu Kα (weighted mean of Kα1 and Kα2). Structure: a structure optimized by DFT (GGA-PBE).
No peak broadening, texture or thermal motion is included.

Structural model:
a = 14.382 Å, b = 14.382 Å, c = 3.778 Å
α = 90.00°, β = 90.00°, γ = 110.94°
Fractional coordinates of all 24 atoms:
Pr 0.000 0.000 0.000
Pr 0.121 0.645 0.000
Pr 0.293 0.471 0.000
Pr 0.355 0.879 0.000
Pr 0.471 0.293 0.000
Pr 0.529 0.707 0.000
Pr 0.645 0.121 0.000
Pr 0.707 0.529 0.000
Pr 0.879 0.355 0.000
Nd 0.067 0.244 0.000
Nd 0.244 0.067 0.000
Nd 0.756 0.933 0.000
Nd 0.933 0.756 0.000
Mg 0.089 0.442 0.500
Mg 0.140 0.860 0.500
Mg 0.268 0.268 0.500
Mg 0.326 0.674 0.500
Mg 0.442 0.089 0.500
Mg 0.500 0.500 0.500
Mg 0.558 0.911 0.500
Mg 0.674 0.326 0.500
Mg 0.732 0.732 0.500
Mg 0.860 0.140 0.500
Mg 0.911 0.558 0.500

Most intense lines, 10° ≤ 2θ ≤ 90°, sorted by position:
- 2θ 21.80, intensity 46.2
- 2θ 22.51, intensity 52.9
- 2θ 23.55, intensity 76.5
- 2θ 31.54, intensity 100.0
- 2θ 32.31, intensity 76.7
- 2θ 32.81, intensity 81.3
- 2θ 39.74, intensity 58.3
- 2θ 48.18, intensity 20.8
- 2θ 58.73, intensity 36.0
- 2θ 59.88, intensity 25.1

This entry pairs a crystal structure of PrNd2Mg5 with its theoretical powder diffractogram. Radiation: Cu Kα (weighted mean of Kα1 and Kα2). Structure: a structure optimized by DFT (GGA-PBE).
No peak broadening, texture or thermal motion is included.

Structural model:
a = 8.733 Å, b = 8.733 Å, c = 8.733 Å
α = 144.60°, β = 144.60°, γ = 50.94°
Fractional coordinates of all 8 atoms:
Pr 0.000 0.000 0.000
Nd 0.261 0.261 0.000
Nd 0.739 0.739 0.000
Mg 0.118 0.618 0.500
Mg 0.382 0.882 0.500
Mg 0.500 0.500 0.000
Mg 0.618 0.118 0.500
Mg 0.882 0.382 0.500

Most intense lines, 10° ≤ 2θ ≤ 90°, sorted by position:
- 2θ 17.62, intensity 14.0
- 2θ 22.55, intensity 25.5
- 2θ 23.69, intensity 47.9
- 2θ 23.82, intensity 23.8
- 2θ 32.94, intensity 100.0
- 2θ 33.75, intensity 49.0
- 2θ 40.98, intensity 21.7
- 2θ 48.48, intensity 17.6
- 2θ 58.30, intensity 16.6
- 2θ 59.86, intensity 35.3

This entry pairs a crystal structure of Pr7NdMg2 with its theoretical powder diffractogram. Radiation: Cu Kα (weighted mean of Kα1 and Kα2). Structure: a structure optimized by DFT (GGA-PBE).
No peak broadening, texture or thermal motion is included.

Structural model:
a = 9.482 Å, b = 9.482 Å, c = 5.467 Å
α = 90.00°, β = 90.00°, γ = 123.28°
Fractional coordinates of all 10 atoms:
Pr 0.000 0.000 0.000
Pr 0.199 0.432 0.000
Pr 0.284 0.716 0.500
Pr 0.432 0.199 0.000
Pr 0.568 0.801 0.000
Pr 0.716 0.284 0.500
Pr 0.801 0.568 0.000
Nd 0.500 0.500 0.500
Mg 0.201 0.799 0.000
Mg 0.799 0.201 0.000

Most intense lines, 10° ≤ 2θ ≤ 90°, sorted by position:
- 2θ 11.16, intensity 48.3
- 2θ 19.72, intensity 30.4
- 2θ 25.63, intensity 59.7
- 2θ 26.88, intensity 71.9
- 2θ 29.18, intensity 83.6
- 2θ 32.77, intensity 58.2
- 2θ 32.98, intensity 100.0
- 2θ 34.50, intensity 83.3
- 2θ 44.44, intensity 53.0
- 2θ 61.14, intensity 32.0

This entry pairs a crystal structure of Pr3Nd8Mg2 with its theoretical powder diffractogram. Radiation: Cu Kα (weighted mean of Kα1 and Kα2). Structure: a structure optimized by DFT (GGA-PBE).
No peak broadening, texture or thermal motion is included.

Structural model:
a = 6.850 Å, b = 8.743 Å, c = 8.884 Å
α = 64.12°, β = 67.36°, γ = 77.53°
Fractional coordinates of all 13 atoms:
Pr 0.000 0.000 0.000
Pr 0.068 0.190 0.502
Pr 0.932 0.810 0.498
Nd 0.262 0.412 0.647
Nd 0.322 0.612 0.155
Nd 0.351 0.784 0.677
Nd 0.412 0.984 0.209
Nd 0.588 0.016 0.791
Nd 0.649 0.216 0.323
Nd 0.678 0.388 0.845
Nd 0.738 0.588 0.353
Mg 0.136 0.344 0.062
Mg 0.864 0.656 0.938

Most intense lines, 10° ≤ 2θ ≤ 90°, sorted by position:
- 2θ 28.16, intensity 19.7
- 2θ 29.48, intensity 23.5
- 2θ 29.99, intensity 41.4
- 2θ 30.33, intensity 23.9
- 2θ 30.88, intensity 60.9
- 2θ 31.15, intensity 42.7
- 2θ 31.29, intensity 58.0
- 2θ 31.43, intensity 100.0
- 2θ 43.25, intensity 14.7
- 2θ 46.18, intensity 16.1

This entry pairs a crystal structure of Pr8Nd4Mg with its theoretical powder diffractogram. Radiation: Cu Kα (weighted mean of Kα1 and Kα2). Structure: a structure optimized by DFT (GGA-PBE).
No peak broadening, texture or thermal motion is included.

Structural model:
a = 7.899 Å, b = 7.899 Å, c = 7.899 Å
α = 97.12°, β = 97.12°, γ = 97.12°
Fractional coordinates of all 13 atoms:
Pr 0.167 0.167 0.666
Pr 0.167 0.666 0.167
Pr 0.242 0.242 0.242
Pr 0.334 0.833 0.833
Pr 0.666 0.167 0.167
Pr 0.758 0.758 0.758
Pr 0.833 0.334 0.833
Pr 0.833 0.833 0.334
Nd 0.000 0.000 0.000
Nd 0.000 0.500 0.500
Nd 0.500 0.000 0.500
Nd 0.500 0.500 0.000
Mg 0.500 0.500 0.500

Most intense lines, 10° ≤ 2θ ≤ 90°, sorted by position:
- 2θ 22.48, intensity 42.7
- 2θ 27.11, intensity 10.9
- 2θ 30.18, intensity 100.0
- 2θ 37.96, intensity 66.0
- 2θ 53.60, intensity 23.6
- 2θ 55.91, intensity 16.3
- 2θ 58.85, intensity 18.4
- 2θ 62.74, intensity 16.9
- 2θ 67.57, intensity 13.3
- 2θ 87.07, intensity 12.1

This entry pairs a crystal structure of Pr8NdMg6 with its theoretical powder diffractogram. Radiation: Cu Kα (weighted mean of Kα1 and Kα2). Structure: a structure optimized by DFT (GGA-PBE).
No peak broadening, texture or thermal motion is included.

Structural model:
a = 8.600 Å, b = 8.600 Å, c = 8.600 Å
α = 66.01°, β = 66.01°, γ = 66.01°
Fractional coordinates of all 15 atoms:
Pr 0.047 0.381 0.714
Pr 0.167 0.167 0.167
Pr 0.286 0.953 0.619
Pr 0.381 0.714 0.047
Pr 0.619 0.286 0.953
Pr 0.714 0.047 0.381
Pr 0.833 0.833 0.833
Pr 0.953 0.619 0.286
Nd 0.500 0.500 0.500
Mg 0.122 0.787 0.454
Mg 0.213 0.546 0.878
Mg 0.454 0.122 0.787
Mg 0.546 0.878 0.213
Mg 0.787 0.454 0.122
Mg 0.878 0.213 0.546

Most intense lines, 10° ≤ 2θ ≤ 90°, sorted by position:
- 2θ 23.18, intensity 100.0
- 2θ 32.91, intensity 65.0
- 2θ 33.12, intensity 65.2
- 2θ 40.82, intensity 22.8
- 2θ 47.39, intensity 23.4
- 2θ 53.26, intensity 18.4
- 2θ 53.54, intensity 20.8
- 2θ 58.64, intensity 11.1
- 2θ 59.04, intensity 24.1
- 2θ 59.17, intensity 12.2

This entry pairs a crystal structure of Pr4NdMg2 with its theoretical powder diffractogram. Radiation: Cu Kα (weighted mean of Kα1 and Kα2). Structure: a structure optimized by DFT (GGA-PBE).
No peak broadening, texture or thermal motion is included.

Structural model:
a = 9.097 Å, b = 9.097 Å, c = 9.097 Å
α = 142.92°, β = 142.92°, γ = 53.45°
Fractional coordinates of all 7 atoms:
Pr 0.000 0.500 0.500
Pr 0.190 0.190 0.000
Pr 0.500 0.000 0.500
Pr 0.810 0.810 0.000
Nd 0.000 0.000 0.000
Mg 0.391 0.391 0.000
Mg 0.609 0.609 0.000

Most intense lines, 10° ≤ 2θ ≤ 90°, sorted by position:
- 2θ 10.89, intensity 52.9
- 2θ 16.26, intensity 69.7
- 2θ 21.88, intensity 32.2
- 2θ 24.36, intensity 70.9
- 2θ 30.91, intensity 100.0
- 2θ 31.58, intensity 69.8
- 2θ 38.19, intensity 30.8
- 2θ 44.29, intensity 37.1
- 2θ 44.77, intensity 53.0
- 2θ 45.90, intensity 38.7

This entry pairs a crystal structure of Pr5Nd2Mg with its theoretical powder diffractogram. Radiation: Cu Kα (weighted mean of Kα1 and Kα2). Structure: a structure optimized by DFT (GGA-PBE).
No peak broadening, texture or thermal motion is included.

Structural model:
a = 8.685 Å, b = 7.373 Å, c = 6.934 Å
α = 74.68°, β = 54.96°, γ = 50.36°
Fractional coordinates of all 8 atoms:
Pr 0.000 0.000 0.000
Pr 0.004 0.479 0.996
Pr 0.409 0.409 0.091
Pr 0.479 0.004 0.521
Pr 0.909 0.909 0.591
Nd 0.418 0.896 0.104
Nd 0.896 0.418 0.582
Mg 0.492 0.492 0.508

Most intense lines, 10° ≤ 2θ ≤ 90°, sorted by position:
- 2θ 27.98, intensity 24.6
- 2θ 30.40, intensity 24.9
- 2θ 31.92, intensity 100.0
- 2θ 41.79, intensity 16.2
- 2θ 49.44, intensity 12.9
- 2θ 49.61, intensity 6.3
- 2θ 54.99, intensity 20.4
- 2θ 59.16, intensity 14.7
- 2θ 59.30, intensity 7.2
- 2θ 60.18, intensity 11.0

This entry pairs a crystal structure of Pr2Nd4MgSc with its theoretical powder diffractogram. Radiation: Cu Kα (weighted mean of Kα1 and Kα2). Structure: a structure optimized by DFT (GGA-PBE).
No peak broadening, texture or thermal motion is included.

Structural model:
a = 5.039 Å, b = 5.039 Å, c = 10.188 Å
α = 90.00°, β = 90.00°, γ = 90.00°
Fractional coordinates of all 8 atoms:
Pr 0.000 0.000 0.000
Pr 0.500 0.500 0.500
Nd 0.000 0.500 0.248
Nd 0.000 0.500 0.752
Nd 0.500 0.000 0.248
Nd 0.500 0.000 0.752
Mg 0.000 0.000 0.500
Sc 0.500 0.500 0.000

Most intense lines, 10° ≤ 2θ ≤ 90°, sorted by position:
- 2θ 19.66, intensity 15.2
- 2θ 30.62, intensity 100.0
- 2θ 35.24, intensity 17.1
- 2θ 35.64, intensity 33.3
- 2θ 50.99, intensity 23.8
- 2θ 51.28, intensity 11.7
- 2θ 60.39, intensity 14.2
- 2θ 60.92, intensity 27.8
- 2θ 63.75, intensity 12.1
- 2θ 83.13, intensity 11.5

This entry pairs a crystal structure of PrNd2SmMg with its theoretical powder diffractogram. Radiation: Cu Kα (weighted mean of Kα1 and Kα2). Structure: a structure optimized by DFT (GGA-PBE).
No peak broadening, texture or thermal motion is included.

Structural model:
a = 6.097 Å, b = 7.375 Å, c = 7.441 Å
α = 90.00°, β = 90.00°, γ = 90.00°
Fractional coordinates of all 10 atoms:
Pr 0.250 0.000 0.159
Pr 0.750 0.000 0.841
Nd 0.250 0.219 0.686
Nd 0.250 0.781 0.686
Nd 0.750 0.219 0.314
Nd 0.750 0.781 0.314
Sm 0.250 0.500 0.369
Sm 0.750 0.500 0.631
Mg 0.000 0.500 0.000
Mg 0.500 0.500 0.000

Most intense lines, 10° ≤ 2θ ≤ 90°, sorted by position:
- 2θ 11.89, intensity 12.6
- 2θ 16.93, intensity 16.0
- 2θ 23.92, intensity 12.5
- 2θ 29.29, intensity 38.7
- 2θ 30.65, intensity 45.5
- 2θ 30.78, intensity 100.0
- 2θ 34.03, intensity 11.3
- 2θ 37.37, intensity 12.0
- 2θ 38.17, intensity 10.8
- 2θ 52.86, intensity 31.8

This entry pairs a crystal structure of PrNd2Sm6Mg with its theoretical powder diffractogram. Radiation: Cu Kα (weighted mean of Kα1 and Kα2). Structure: a structure optimized by DFT (GGA-PBE).
No peak broadening, texture or thermal motion is included.

Structural model:
a = 9.073 Å, b = 9.073 Å, c = 9.216 Å
α = 91.06°, β = 91.06°, γ = 117.80°
Fractional coordinates of all 20 atoms:
Pr 0.025 0.975 0.750
Pr 0.975 0.025 0.250
Nd 0.215 0.332 0.554
Nd 0.332 0.215 0.054
Nd 0.668 0.785 0.946
Nd 0.785 0.668 0.446
Sm 0.005 0.427 0.289
Sm 0.145 0.785 0.057
Sm 0.215 0.855 0.443
Sm 0.270 0.503 0.903
Sm 0.427 0.005 0.789
Sm 0.497 0.730 0.597
Sm 0.503 0.270 0.403
Sm 0.573 0.995 0.211
Sm 0.730 0.497 0.097
Sm 0.785 0.145 0.557
Sm 0.855 0.215 0.943
Sm 0.995 0.573 0.711
Mg 0.422 0.578 0.250
Mg 0.578 0.422 0.750

Most intense lines, 10° ≤ 2θ ≤ 90°, sorted by position:
- 2θ 27.86, intensity 46.9
- 2θ 29.07, intensity 36.9
- 2θ 29.17, intensity 19.8
- 2θ 29.99, intensity 62.2
- 2θ 30.30, intensity 42.7
- 2θ 30.45, intensity 59.8
- 2θ 31.30, intensity 100.0
- 2θ 31.72, intensity 43.2
- 2θ 35.02, intensity 26.5
- 2θ 62.09, intensity 30.9

Which formula does entry 11 have? PrNd2SmMg